Record 1
For VFe5Ir6, a cell relaxed with PBE gives the theoretical X-ray diffraction stick pattern in this record (Cu Ka).
Kinematic intensities with the Lorentz-polarization factor, no thermal factor.

Atomic structure:
Lattice parameters (Å, degrees): 4.530 5.398 6.500 90.00 92.39 90.00
Fractional positions:
V (0.000, 0.000, 0.000)
Fe (0.000, 0.500, 0.000)
Fe (0.334, 0.000, 0.667)
Fe (0.334, 0.500, 0.670)
Fe (0.666, 0.000, 0.333)
Fe (0.666, 0.500, 0.330)
Ir (0.167, 0.250, 0.334)
Ir (0.167, 0.750, 0.334)
Ir (0.500, 0.250, 0.000)
Ir (0.500, 0.750, 0.000)
Ir (0.833, 0.250, 0.666)
Ir (0.833, 0.750, 0.666)

Peak list (12 most intense, 10 to 80 degrees two-theta, by angle)
2θ 24.43, I = 28
2θ 33.24, I = 26
2θ 41.68, I = 100
2θ 47.72, I = 34
2θ 50.08, I = 15
2θ 54.32, I = 14
2θ 61.44, I = 10
2θ 69.68, I = 5
2θ 69.88, I = 5
2θ 71.67, I = 20
2θ 75.07, I = 3
2θ 75.26, I = 3

***

Record 2
For V3FeIr6, a cell relaxed with PBE gives the theoretical X-ray diffraction stick pattern in this record (Cu Ka).
Kinematic intensities with the Lorentz-polarization factor, no thermal factor.

Atomic structure:
Lattice parameters (Å, degrees): 7.216 4.327 9.410 90.00 109.80 90.00
Fractional positions:
V (0.088, 0.250, 0.236)
V (0.299, 0.250, 0.030)
V (0.310, 0.750, 0.371)
V (0.690, 0.250, 0.629)
V (0.701, 0.750, 0.970)
V (0.912, 0.750, 0.764)
Fe (0.094, 0.750, 0.565)
Fe (0.906, 0.250, 0.435)
Ir (0.089, 0.250, 0.724)
Ir (0.108, 0.750, 0.072)
Ir (0.287, 0.250, 0.527)
Ir (0.298, 0.750, 0.865)
Ir (0.498, 0.250, 0.331)
Ir (0.499, 0.250, 0.833)
Ir (0.501, 0.750, 0.167)
Ir (0.502, 0.750, 0.669)
Ir (0.702, 0.250, 0.135)
Ir (0.713, 0.750, 0.473)
Ir (0.892, 0.250, 0.928)
Ir (0.911, 0.750, 0.276)

Peak list (12 most intense, 10 to 80 degrees two-theta, by angle)
2θ 28.10, I = 55
2θ 32.78, I = 23
2θ 38.04, I = 18
2θ 38.26, I = 19
2θ 38.50, I = 31
2θ 41.75, I = 71
2θ 43.60, I = 100
2θ 43.81, I = 98
2θ 44.02, I = 80
2θ 58.09, I = 19
2θ 77.52, I = 18
2θ 77.66, I = 18

***

Record 3
For V2Fe2Ir, a cell relaxed with PBE gives the theoretical X-ray diffraction stick pattern in this record (Cu Ka).
Kinematic intensities with the Lorentz-polarization factor, no thermal factor.

Atomic structure:
Lattice parameters (Å, degrees): 4.458 4.458 6.458 119.83 119.83 35.37
Fractional positions:
V (0.181, 0.181, 0.268)
V (0.819, 0.819, 0.732)
Fe (0.397, 0.397, 0.101)
Fe (0.603, 0.603, 0.899)
Ir (0.000, 0.000, 0.500)

Peak list (12 most intense, 10 to 80 degrees two-theta, by angle)
2θ 16.09, I = 34
2θ 21.18, I = 38
2θ 24.58, I = 30
2θ 35.38, I = 19
2θ 36.14, I = 30
2θ 41.84, I = 100
2θ 41.97, I = 49
2θ 43.71, I = 44
2θ 48.39, I = 66
2θ 51.08, I = 25
2θ 71.76, I = 19
2θ 74.23, I = 16

***

Record 4
For VFe4Ir, a cell relaxed with PBE gives the theoretical X-ray diffraction stick pattern in this record (Cu Ka).
Kinematic intensities with the Lorentz-polarization factor, no thermal factor.

Atomic structure:
Lattice parameters (Å, degrees): 4.672 4.672 4.672 60.00 60.00 60.00
Fractional positions:
V (0.000, 0.000, 0.000)
Fe (0.375, 0.375, 0.375)
Fe (0.375, 0.375, 0.875)
Fe (0.375, 0.875, 0.375)
Fe (0.875, 0.375, 0.375)
Ir (0.750, 0.750, 0.750)

Peak list (9 most intense, 10 to 80 degrees two-theta, by angle)
2θ 23.32, I = 25
2θ 26.99, I = 21
2θ 38.54, I = 50
2θ 45.53, I = 100
2θ 47.68, I = 23
2θ 61.14, I = 6
2θ 62.91, I = 9
2θ 69.73, I = 17
2θ 74.64, I = 29

***

Record 5
For V6FeIr, a cell relaxed with PBE gives the theoretical X-ray diffraction stick pattern in this record (Cu Ka).
Kinematic intensities with the Lorentz-polarization factor, no thermal factor.

Atomic structure:
Lattice parameters (Å, degrees): 4.718 4.718 4.718 90.00 90.00 90.00
Fractional positions:
V (0.000, 0.245, 0.500)
V (0.000, 0.755, 0.500)
V (0.245, 0.500, 0.000)
V (0.500, 0.000, 0.245)
V (0.500, 0.000, 0.755)
V (0.755, 0.500, 0.000)
Fe (0.000, 0.000, 0.000)
Ir (0.500, 0.500, 0.500)

Peak list (12 most intense, 10 to 80 degrees two-theta, by angle)
2θ 18.81, I = 35
2θ 26.72, I = 42
2θ 32.88, I = 15
2θ 38.15, I = 47
2θ 42.86, I = 61
2θ 47.18, I = 100
2θ 55.05, I = 6
2θ 58.70, I = 10
2θ 62.22, I = 9
2θ 65.63, I = 6
2θ 72.19, I = 13
2θ 75.37, I = 47

***

Record 6
For YFeIr, a cell relaxed with PBE gives the theoretical X-ray diffraction stick pattern in this record (Cu Ka).
Kinematic intensities with the Lorentz-polarization factor, no thermal factor.

Atomic structure:
Lattice parameters (Å, degrees): 4.090 4.090 4.052 90.00 90.00 120.00
Fractional positions:
Y (0.000, 0.000, 0.000)
Fe (0.667, 0.333, 0.500)
Ir (0.333, 0.667, 0.500)

Peak list (12 most intense, 10 to 80 degrees two-theta, by angle)
2θ 21.94, I = 20
2θ 25.14, I = 24
2θ 33.60, I = 100
2θ 44.29, I = 45
2θ 44.73, I = 15
2θ 49.95, I = 14
2θ 51.60, I = 4
2θ 52.00, I = 7
2θ 56.72, I = 22
2θ 64.77, I = 29
2θ 74.66, I = 20
2θ 75.30, I = 10

***

Record 7
For Y2FeIr3, a cell relaxed with PBE gives the theoretical X-ray diffraction stick pattern in this record (Cu Ka).
Kinematic intensities with the Lorentz-polarization factor, no thermal factor.

Atomic structure:
Lattice parameters (Å, degrees): 5.463 5.463 8.275 90.00 90.00 120.00
Fractional positions:
Y (0.333, 0.667, 0.063)
Y (0.333, 0.667, 0.437)
Y (0.667, 0.333, 0.563)
Y (0.667, 0.333, 0.937)
Fe (0.000, 0.000, 0.000)
Fe (0.000, 0.000, 0.500)
Ir (0.168, 0.336, 0.750)
Ir (0.168, 0.832, 0.750)
Ir (0.336, 0.168, 0.250)
Ir (0.664, 0.832, 0.750)
Ir (0.832, 0.168, 0.250)
Ir (0.832, 0.664, 0.250)

Peak list (12 most intense, 10 to 80 degrees two-theta, by angle)
2θ 21.48, I = 25
2θ 21.64, I = 11
2θ 37.75, I = 25
2θ 38.04, I = 12
2θ 39.60, I = 100
2θ 43.76, I = 11
2θ 44.10, I = 13
2θ 50.85, I = 13
2θ 61.83, I = 11
2θ 63.09, I = 8
2θ 68.73, I = 14
2θ 69.29, I = 17

***

Record 8
For Zn2FeIr, a cell relaxed with PBE gives the theoretical X-ray diffraction stick pattern in this record (Cu Ka).
Kinematic intensities with the Lorentz-polarization factor, no thermal factor.

Atomic structure:
Lattice parameters (Å, degrees): 5.012 5.012 5.012 145.65 129.17 62.79
Fractional positions:
Zn (0.000, 0.000, 0.000)
Zn (0.749, 0.249, 0.500)
Fe (0.246, 0.746, 0.500)
Ir (0.493, 0.493, 0.000)

Peak list (12 most intense, 10 to 80 degrees two-theta, by angle)
2θ 20.76, I = 17
2θ 23.14, I = 22
2θ 32.00, I = 10
2θ 36.86, I = 8
2θ 42.00, I = 26
2θ 42.25, I = 26
2θ 42.68, I = 100
2θ 61.10, I = 17
2θ 62.77, I = 10
2θ 77.21, I = 17
2θ 77.55, I = 16
2θ 78.43, I = 10